Theoretical PXRD pattern of AlIn2Pd8 for CuKα, from a cell relaxed with GGA-PBE.
Kinematic intensities with the Lorentz-polarization factor, no thermal factor.

Peak list (12 most intense, 10° ≤ 2θ ≤ 90°, by intensity)
2θ 41.4, I = 100; 2θ 39.7, I = 32; 2θ 38.9, I = 25; 2θ 40.3, I = 18; 2θ 73.2, I = 18; 2θ 32.8, I = 13; 2θ 57.8, I = 13; 2θ 77.6, I = 11; 2θ 63.5, I = 10; 2θ 76.2, I = 9; 2θ 62.1, I = 8; 2θ 36.6, I = 8

Structure:
Unit cell a=7.696 b=7.696 c=7.696 alpha=145.69 beta=134.26 gamma=58.40
Fractional coordinates of all 11 atoms:
Al (0.000, 0.000, 0.000)
In (0.315, 0.315, 0.000)
In (0.685, 0.685, 0.000)
Pd (0.121, 0.860, 0.261)
Pd (0.174, 0.674, 0.500)
Pd (0.255, 0.500, 0.755)
Pd (0.401, 0.140, 0.261)
Pd (0.599, 0.860, 0.739)
Pd (0.745, 0.500, 0.245)
Pd (0.826, 0.326, 0.500)
Pd (0.879, 0.140, 0.739)

=====

Theoretical PXRD pattern of Mg5ZnHg2 for CuKα, from a cell relaxed with GGA-PBE.
Kinematic intensities with the Lorentz-polarization factor, no thermal factor.

Peak list (12 most intense, 10° ≤ 2θ ≤ 90°, by intensity)
2θ 22.1, I = 100; 2θ 37.7, I = 90; 2θ 26.1, I = 80; 2θ 41.2, I = 63; 2θ 21.5, I = 51; 2θ 36.9, I = 39; 2θ 48.7, I = 38; 2θ 19.6, I = 26; 2θ 70.5, I = 26; 2θ 29.7, I = 25; 2θ 57.1, I = 24; 2θ 42.9, I = 22

Structure:
Unit cell a=4.771 b=4.771 c=18.078 alpha=90.00 beta=90.00 gamma=120.00
Fractional coordinates of all 16 atoms:
Mg (0.000, 0.000, 0.160)
Mg (0.000, 0.000, 0.340)
Mg (0.000, 0.000, 0.660)
Mg (0.000, 0.000, 0.840)
Mg (0.333, 0.667, 0.055)
Mg (0.333, 0.667, 0.250)
Mg (0.333, 0.667, 0.445)
Mg (0.667, 0.333, 0.555)
Mg (0.667, 0.333, 0.750)
Mg (0.667, 0.333, 0.945)
Zn (0.333, 0.667, 0.750)
Zn (0.667, 0.333, 0.250)
Hg (0.333, 0.667, 0.600)
Hg (0.333, 0.667, 0.900)
Hg (0.667, 0.333, 0.100)
Hg (0.667, 0.333, 0.400)

=====

Theoretical PXRD pattern of PrHo3Er8 for CuKα, from a cell relaxed with GGA-PBE.
Kinematic intensities with the Lorentz-polarization factor, no thermal factor.

Peak list (12 most intense, 10° ≤ 2θ ≤ 90°, by intensity)
2θ 32.9, I = 100; 2θ 28.6, I = 24; 2θ 32.0, I = 24; 2θ 61.2, I = 23; 2θ 57.5, I = 20; 2θ 50.7, I = 20; 2θ 61.7, I = 16; 2θ 43.4, I = 16; 2θ 83.8, I = 14; 2θ 88.4, I = 8; 2θ 80.2, I = 5; 2θ 68.9, I = 4

Structure:
Unit cell a=8.386 b=8.386 c=8.386 alpha=99.70 beta=96.23 gamma=136.30
Fractional coordinates of all 12 atoms:
Pr (0.000, 0.000, 0.000)
Ho (0.414, 0.666, 0.748)
Ho (0.500, 0.000, 0.500)
Ho (0.917, 0.666, 0.252)
Er (0.000, 0.334, 0.335)
Er (0.000, 0.665, 0.665)
Er (0.419, 0.000, 0.085)
Er (0.419, 0.334, 0.419)
Er (0.499, 0.331, 0.832)
Er (0.499, 0.667, 0.168)
Er (0.915, 0.000, 0.581)
Er (0.915, 0.334, 0.915)